No. 1
For AgPbSe2O8, a cell relaxed with GGA-PBE gives the computed powder X-ray diffraction pattern in this record (Cu Ka).

Peak list (10 most intense, 10 to 90 degrees two-theta, by angle)
| 2θ/deg | I_rel |
| --- | --- |
| 25.16 | 100 |
| 34.97 | 42 |
| 36.80 | 43 |
| 42.15 | 12 |
| 43.57 | 22 |
| 51.66 | 12 |
| 57.04 | 20 |
| 59.54 | 20 |
| 62.71 | 12 |
| 63.91 | 14 |

Crystal structure
```
AgPbSe2O8
1.0
2.566 1.482 7.800
-2.566 1.482 7.800
0.000 -2.963 7.800
Ag Pb Se O
1 1 2 8
direct
0.000 0.000 0.000
0.500 0.500 0.500
0.248 0.248 0.248
0.752 0.752 0.752
0.052 0.427 0.714
0.176 0.176 0.176
0.286 0.573 0.948
0.427 0.714 0.052
0.573 0.948 0.286
0.714 0.052 0.427
0.824 0.824 0.824
0.948 0.286 0.573
```

---

No. 2
For Sr2AgPbO5, a cell relaxed with GGA-PBE gives the computed powder X-ray diffraction pattern in this record (Cu Ka).

Peak list (10 most intense, 10 to 90 degrees two-theta, by angle)
| 2θ/deg | I_rel |
| --- | --- |
| 15.66 | 54 |
| 19.97 | 41 |
| 26.69 | 51 |
| 27.48 | 37 |
| 29.45 | 48 |
| 30.76 | 45 |
| 31.75 | 39 |
| 32.74 | 80 |
| 35.61 | 100 |
| 38.43 | 47 |

Crystal structure
```
Sr2AgPbO5
1.0
1.743 -7.184 0.000
1.743 7.184 0.000
0.000 0.000 11.318
Sr Ag Pb O
4 2 2 10
direct
0.085 0.915 0.500
0.136 0.864 0.136
0.864 0.136 0.636
0.915 0.085 0.000
0.463 0.537 0.281
0.537 0.463 0.781
0.222 0.778 0.862
0.778 0.222 0.362
0.074 0.926 0.903
0.263 0.737 0.497
0.302 0.698 0.236
0.372 0.628 0.827
0.491 0.509 0.603
0.509 0.491 0.103
0.628 0.372 0.327
0.698 0.302 0.736
0.737 0.263 0.997
0.926 0.074 0.403
```

---

No. 3
For Sr2AgPbO4, a cell relaxed with GGA-PBE gives the computed powder X-ray diffraction pattern in this record (Cu Ka).

Peak list (10 most intense, 10 to 90 degrees two-theta, by angle)
| 2θ/deg | I_rel |
| --- | --- |
| 15.59 | 20 |
| 29.92 | 43 |
| 30.03 | 83 |
| 31.48 | 37 |
| 34.61 | 100 |
| 36.39 | 43 |
| 48.85 | 18 |
| 50.06 | 34 |
| 52.11 | 32 |
| 62.42 | 17 |

Crystal structure
```
Sr2AgPbO4
1.0
5.968 0.000 0.000
0.000 3.729 0.000
-1.911 0.000 5.974
Sr Ag Pb O
2 1 1 4
direct
0.000 0.000 0.000
0.000 0.500 0.500
0.500 0.000 0.500
0.500 0.500 0.000
0.243 0.500 0.223
0.257 0.000 0.755
0.743 0.000 0.245
0.757 0.500 0.777
```

---

No. 4
For TiAg2PbO4, a cell relaxed with GGA-PBE gives the computed powder X-ray diffraction pattern in this record (Cu Ka).

Peak list (10 most intense, 10 to 90 degrees two-theta, by angle)
| 2θ/deg | I_rel |
| --- | --- |
| 19.40 | 50 |
| 29.08 | 100 |
| 31.77 | 94 |
| 32.25 | 22 |
| 34.75 | 54 |
| 36.39 | 21 |
| 46.29 | 29 |
| 51.20 | 44 |
| 57.24 | 31 |
| 61.99 | 23 |

Crystal structure
```
TiAg2PbO4
1.0
0.000 3.922 4.937
3.429 0.000 4.937
3.429 3.922 0.000
Ti Ag Pb O
1 2 1 4
direct
0.000 0.000 0.000
0.231 0.231 0.269
0.731 0.731 0.769
0.452 0.452 0.548
0.084 0.705 0.295
0.333 0.869 0.667
0.705 0.084 0.916
0.869 0.333 0.131
```

---

No. 5
For AgPd4O8, a cell relaxed with GGA-PBE gives the computed powder X-ray diffraction pattern in this record (Cu Ka).

Peak list (10 most intense, 10 to 90 degrees two-theta, by angle)
| 2θ/deg | I_rel |
| --- | --- |
| 15.49 | 100 |
| 17.35 | 12 |
| 31.28 | 25 |
| 33.46 | 40 |
| 34.11 | 29 |
| 35.12 | 22 |
| 43.21 | 43 |
| 49.53 | 18 |
| 60.65 | 13 |
| 62.31 | 11 |

Crystal structure
```
AgPd4O8
1.0
5.433 -3.112 0.000
5.433 3.112 0.000
-3.939 0.000 5.720
Ag Pd O
1 4 8
direct
0.000 0.000 0.000
0.249 0.751 0.500
0.256 0.256 0.516
0.744 0.744 0.484
0.751 0.249 0.500
0.141 0.660 0.684
0.145 0.145 0.675
0.340 0.859 0.316
0.353 0.353 0.336
0.647 0.647 0.664
0.660 0.141 0.684
0.855 0.855 0.325
0.859 0.340 0.316
```

---

No. 6
For Pm2AgPdO5, a cell relaxed with GGA-PBE gives the computed powder X-ray diffraction pattern in this record (Cu Ka).

Peak list (10 most intense, 10 to 90 degrees two-theta, by angle)
| 2θ/deg | I_rel |
| --- | --- |
| 29.47 | 20 |
| 30.59 | 100 |
| 30.96 | 37 |
| 33.39 | 50 |
| 37.54 | 23 |
| 43.27 | 37 |
| 49.42 | 20 |
| 54.83 | 19 |
| 56.62 | 23 |
| 58.37 | 14 |

Crystal structure
```
Pm2AgPdO5
1.0
6.777 0.000 0.000
0.000 6.777 0.000
0.000 0.000 5.777
Pm Ag Pd O
4 2 2 10
direct
0.175 0.325 0.000
0.325 0.825 0.000
0.675 0.175 0.000
0.825 0.675 0.000
0.000 0.000 0.500
0.500 0.500 0.500
0.000 0.500 0.500
0.500 0.000 0.500
0.000 0.000 0.000
0.136 0.636 0.244
0.136 0.636 0.756
0.364 0.136 0.244
0.364 0.136 0.756
0.500 0.500 0.000
0.636 0.864 0.244
0.636 0.864 0.756
0.864 0.364 0.244
0.864 0.364 0.756
```

---

No. 7
For PuAg2PdO6, a cell relaxed with GGA-PBE gives the computed powder X-ray diffraction pattern in this record (Cu Ka).

Peak list (10 most intense, 10 to 90 degrees two-theta, by angle)
| 2θ/deg | I_rel |
| --- | --- |
| 19.18 | 17 |
| 31.55 | 100 |
| 31.63 | 66 |
| 31.84 | 32 |
| 45.16 | 17 |
| 45.41 | 32 |
| 56.15 | 40 |
| 56.50 | 15 |
| 56.64 | 15 |
| 65.87 | 14 |

Crystal structure
```
PuAg2PdO6
1.0
5.622 0.000 0.000
0.000 5.676 0.000
-5.597 0.000 8.030
Pu Ag Pd O
2 4 2 12
direct
0.000 0.000 0.000
0.000 0.500 0.500
0.254 0.025 0.751
0.254 0.475 0.251
0.746 0.525 0.749
0.746 0.975 0.249
0.500 0.000 0.500
0.500 0.500 0.000
0.163 0.027 0.251
0.163 0.473 0.751
0.241 0.700 0.044
0.241 0.800 0.544
0.349 0.201 0.045
0.349 0.299 0.545
0.651 0.701 0.455
0.651 0.799 0.955
0.759 0.200 0.456
0.759 0.300 0.956
0.837 0.527 0.249
0.837 0.973 0.749
```

---

No. 8
For RbAgPdO2, a cell relaxed with GGA-PBE gives the computed powder X-ray diffraction pattern in this record (Cu Ka).

Peak list (10 most intense, 10 to 90 degrees two-theta, by angle)
| 2θ/deg | I_rel |
| --- | --- |
| 13.11 | 100 |
| 24.62 | 23 |
| 26.39 | 71 |
| 34.40 | 47 |
| 36.95 | 42 |
| 40.80 | 43 |
| 43.87 | 74 |
| 53.80 | 22 |
| 65.90 | 17 |
| 68.57 | 24 |

Crystal structure
```
RbAgPdO2
1.0
3.139 -6.755 0.000
3.139 6.755 0.000
0.000 0.000 4.681
Rb Ag Pd O
2 2 2 4
direct
0.250 0.750 0.830
0.750 0.250 0.170
0.000 0.000 0.000
0.500 0.500 0.000
0.250 0.250 0.500
0.750 0.750 0.500
0.099 0.901 0.470
0.401 0.599 0.470
0.599 0.401 0.530
0.901 0.099 0.530
```

---

No. 9
For Sm3Ag3PdO8, a cell relaxed with GGA-PBE gives the computed powder X-ray diffraction pattern in this record (Cu Ka).

Peak list (10 most intense, 10 to 90 degrees two-theta, by angle)
| 2θ/deg | I_rel |
| --- | --- |
| 15.75 | 19 |
| 31.45 | 87 |
| 31.82 | 30 |
| 36.59 | 100 |
| 52.46 | 34 |
| 52.94 | 31 |
| 62.68 | 27 |
| 63.10 | 14 |
| 65.66 | 16 |
| 88.77 | 14 |

Crystal structure
```
Sm3Ag3PdO8
1.0
3.488 2.014 5.625
-3.488 2.014 5.625
0.000 -4.028 5.625
Sm Ag Pd O
3 3 1 8
direct
0.000 0.500 0.500
0.500 0.000 0.500
0.500 0.500 0.000
0.000 0.000 0.500
0.000 0.500 0.000
0.500 0.000 0.000
0.000 0.000 0.000
0.213 0.213 0.770
0.213 0.770 0.213
0.230 0.787 0.787
0.270 0.270 0.270
0.730 0.730 0.730
0.770 0.213 0.213
0.787 0.230 0.787
0.787 0.787 0.230
```

---

No. 10
For TiAgPdO4, a cell relaxed with GGA-PBE gives the computed powder X-ray diffraction pattern in this record (Cu Ka).

Peak list (10 most intense, 10 to 90 degrees two-theta, by angle)
| 2θ/deg | I_rel |
| --- | --- |
| 27.68 | 66 |
| 29.68 | 32 |
| 31.39 | 26 |
| 31.71 | 62 |
| 33.41 | 100 |
| 34.31 | 42 |
| 49.72 | 23 |
| 49.93 | 18 |
| 55.08 | 29 |
| 57.16 | 56 |

Crystal structure
```
TiAgPdO4
1.0
-3.010 3.154 4.792
3.010 -3.154 4.792
3.010 3.154 -4.792
Ti Ag Pd O
2 2 2 8
direct
0.500 0.000 0.000
0.500 0.500 0.500
0.129 0.379 0.750
0.871 0.621 0.250
0.000 0.000 0.000
0.500 0.000 0.500
0.288 0.255 0.467
0.288 0.821 0.033
0.295 0.748 0.547
0.299 0.252 0.047
0.701 0.748 0.953
0.705 0.252 0.453
0.712 0.179 0.967
0.712 0.745 0.533
```

---

No. 11
For Y3Ag3PdO8, a cell relaxed with GGA-PBE gives the computed powder X-ray diffraction pattern in this record (Cu Ka).

Peak list (10 most intense, 10 to 90 degrees two-theta, by angle)
| 2θ/deg | I_rel |
| --- | --- |
| 15.92 | 25 |
| 31.34 | 29 |
| 32.16 | 75 |
| 37.06 | 100 |
| 52.88 | 30 |
| 53.96 | 32 |
| 62.77 | 14 |
| 63.71 | 16 |
| 64.22 | 11 |
| 67.27 | 15 |

Crystal structure
```
Y3Ag3PdO8
1.0
5.886 -3.399 0.000
5.886 3.399 0.000
-3.935 0.000 5.709
Y Ag Pd O
3 3 1 8
direct
0.000 0.000 0.000
0.000 0.500 0.000
0.500 0.000 0.000
0.000 0.500 0.500
0.500 0.000 0.500
0.500 0.500 0.500
0.500 0.500 0.000
0.228 0.228 0.183
0.263 0.715 0.192
0.285 0.285 0.808
0.285 0.737 0.808
0.715 0.263 0.192
0.715 0.715 0.192
0.737 0.285 0.808
0.772 0.772 0.817
```

---

No. 12
For PmAgO3, a cell relaxed with GGA-PBE gives the computed powder X-ray diffraction pattern in this record (Cu Ka).

Peak list (10 most intense, 10 to 90 degrees two-theta, by angle)
| 2θ/deg | I_rel |
| --- | --- |
| 13.40 | 12 |
| 26.99 | 53 |
| 27.31 | 30 |
| 30.24 | 100 |
| 38.77 | 20 |
| 47.46 | 12 |
| 49.77 | 20 |
| 50.13 | 25 |
| 55.63 | 12 |
| 62.90 | 15 |

Crystal structure
```
PmAgO3
1.0
3.832 -6.606 0.000
3.832 6.606 0.000
0.000 0.000 6.531
Pm Ag O
4 4 12
direct
0.101 0.899 0.795
0.399 0.601 0.295
0.601 0.399 0.705
0.899 0.101 0.205
0.131 0.369 0.750
0.369 0.131 0.250
0.631 0.869 0.750
0.869 0.631 0.250
0.080 0.920 0.169
0.090 0.342 0.444
0.158 0.410 0.056
0.342 0.090 0.556
0.410 0.158 0.944
0.420 0.580 0.669
0.580 0.420 0.331
0.590 0.842 0.056
0.658 0.910 0.444
0.842 0.590 0.944
0.910 0.658 0.556
0.920 0.080 0.831
```

---

Copy entry 9 word for word.
For Sm3Ag3PdO8, a cell relaxed with GGA-PBE gives the computed powder X-ray diffraction pattern in this record (Cu Ka).

Peak list (10 most intense, 10 to 90 degrees two-theta, by angle)
| 2θ/deg | I_rel |
| --- | --- |
| 15.75 | 19 |
| 31.45 | 87 |
| 31.82 | 30 |
| 36.59 | 100 |
| 52.46 | 34 |
| 52.94 | 31 |
| 62.68 | 27 |
| 63.10 | 14 |
| 65.66 | 16 |
| 88.77 | 14 |

Crystal structure
```
Sm3Ag3PdO8
1.0
3.488 2.014 5.625
-3.488 2.014 5.625
0.000 -4.028 5.625
Sm Ag Pd O
3 3 1 8
direct
0.000 0.500 0.500
0.500 0.000 0.500
0.500 0.500 0.000
0.000 0.000 0.500
0.000 0.500 0.000
0.500 0.000 0.000
0.000 0.000 0.000
0.213 0.213 0.770
0.213 0.770 0.213
0.230 0.787 0.787
0.270 0.270 0.270
0.730 0.730 0.730
0.770 0.213 0.213
0.787 0.230 0.787
0.787 0.787 0.230
```